The following is a computed XRD peak list of PmMg3Pd3. It was derived from DFT lattice parameters and positions (GGA-PBE), using Cu Ka.

The 10 most intense peaks (2θ = 10–90°), in order of falling intensity:
2θ/deg	Rel. int.	index
38.24	100.0	2 2 0
19.51	82.6	1 0 1
33.36	68.6	2 1 1
39.63	59.7	2 0 2
27.26	26.5	0 2 1
43.28	24.2	1 3 1
64.57	21.0	2 2 3
44.23	18.7	1 2 2
56.25	18.7	0 4 2
70.06	18.0	4 2 2

Structure:
Cell: 9.4140 9.4140 5.4813 Å, 90.00 90.00 120.00°
Space group R3m (No. 160, hexagonal axes)
One atom of each set of equivalent atoms:
Pm 0.0000 0.0000 0.0000 x3
Mg 0.0492 0.5246 0.1362 x9
Pd 0.1723 0.3446 0.9511 x9